# 1
Structure and simulated powder XRD pattern of TlPdAuI5 (a cell relaxed with GGA-PBE; Cu Kα, 1.54184 Å).
Kinematic intensities with the Lorentz-polarization factor, no thermal factor.

Structure:
Cell: 7.9031 7.9031 11.0968 Å, 103.54 103.54 106.23°
Atoms (fractional coordinates):
Tl1 0.1665 0.8335 0.7500
Tl2 0.8335 0.1665 0.2500
Pd1 0.5000 0.5000 0.0000
Pd2 0.5000 0.5000 0.5000
Au1 0.2023 0.7977 0.2500
Au2 0.7977 0.2023 0.7500
I1 0.1388 0.2584 0.9352
I2 0.2033 0.6080 0.4276
I3 0.2584 0.1388 0.4352
I4 0.3920 0.7967 0.0724
I5 0.4446 0.5554 0.7500
I6 0.5554 0.4446 0.2500
I7 0.6080 0.2033 0.9276
I8 0.7416 0.8612 0.5648
I9 0.7967 0.3920 0.5724
I10 0.8612 0.7416 0.0648

Top 12 peaks for 2θ = 5–70°, most intense first:
26.40°, I 100
17.78°, I 97
20.33°, I 89
31.69°, I 73
26.78°, I 65
42.70°, I 62
23.44°, I 61
37.54°, I 59
20.98°, I 52
35.96°, I 49
39.31°, I 48
33.00°, I 47

---

# 2
Structure and simulated powder XRD pattern of PmTePd (a cell relaxed with GGA-PBE; Cu Kα, 1.54184 Å).
Kinematic intensities with the Lorentz-polarization factor, no thermal factor.

Structure:
Cell: 6.0728 7.2680 7.6420 Å, 90.00 114.49 90.00°
Atoms (fractional coordinates):
Pm1 0.1798 0.2063 0.3515
Pm2 0.1798 0.2937 0.8515
Pm3 0.8202 0.7063 0.1485
Pm4 0.8202 0.7937 0.6485
Te1 0.3493 0.5711 0.2077
Te2 0.3493 0.9289 0.7077
Te3 0.6507 0.0711 0.2923
Te4 0.6507 0.4289 0.7923
Pd1 0.2014 0.5987 0.5218
Pd2 0.2014 0.9013 0.0218
Pd3 0.7986 0.0987 0.9782
Pd4 0.7986 0.4013 0.4782

Top 12 peaks for 2θ = 5–70°, most intense first:
40.66°, I 100
28.46°, I 94
34.30°, I 85
34.51°, I 80
34.79°, I 65
27.70°, I 62
32.40°, I 51
31.94°, I 49
40.86°, I 43
41.76°, I 34
62.81°, I 33
47.25°, I 33